Diffraction record for KFeBiF6. The PXRD pattern is theoretical, not measured: it uses a crystal structure in Alexandria, relaxed with PBE+U and Cu Ka.

The 6 most intense peaks (2θ from 10° to 90°), in order of falling intensity:
| 2θ/deg | d_spacing | I/Imax |
| --- | --- | --- |
| 23.58 | 3.772 | 100 |
| 15.98 | 5.545 | 85 |
| 17.23 | 5.147 | 53 |
| 23.72 | 3.751 | 49 |
| 44.87 | 2.020 | 48 |
| 34.44 | 2.604 | 43 |

Atomic structure:
Cell lengths 5.901, 5.901, 5.545 Å; angles 90.05, 90.05, 119.28 degrees
Fractional positions:
K: 0.000 0.000 0.000
Fe: 0.668 0.332 0.500
Bi: 0.334 0.666 0.500
F: 0.378 0.017 0.709
F: 0.381 0.355 0.292
F: 0.634 0.021 0.290
F: 0.645 0.619 0.708
F: 0.979 0.366 0.710
F: 0.983 0.622 0.291